Starting from the PBE geometry in Alexandria, the powder diffraction line list of K5Np3O12 was computed for Cu Kα (weighted mean of Kα1 and Kα2).

Top 12 peaks for 10 to 80 degrees two-theta, most intense first:
- 16.3°, I = 1000
- 30.4°, I = 597
- 28.5°, I = 411
- 51.6°, I = 307
- 42.1°, I = 265
- 33.0°, I = 136
- 38.5°, I = 131
- 44.1°, I = 129
- 67.8°, I = 123
- 60.6°, I = 101
- 50.4°, I = 95
- 55.1°, I = 89

Atomic structure:
a b c (Å): 10.8559 10.8559 3.5025
angles (deg): 90.00 90.00 120.00
Space group P-62m (No. 189)
Inequivalent atoms, fractional coordinates:
K1 0.0000 0.7123 0.0000 x3
K2 0.3333 0.6667 0.0000 x2
Np1 0.0000 0.3376 0.5000 x3
O1 0.0000 0.2192 0.0000 x3
O2 0.0000 0.4569 0.0000 x3
O3 0.2016 0.4340 0.5000 x6

---

Starting from the PBE geometry in Alexandria, the powder diffraction line list of K4NpO6 was computed for Cu Kα (weighted mean of Kα1 and Kα2).

Top 12 peaks for 10 to 80 degrees two-theta, most intense first:
- 16.9°, I = 1000
- 16.5°, I = 964
- 29.5°, I = 603
- 37.6°, I = 436
- 23.7°, I = 276
- 29.3°, I = 260
- 33.3°, I = 256
- 28.5°, I = 245
- 38.2°, I = 214
- 51.7°, I = 206
- 45.1°, I = 201
- 44.3°, I = 163

Atomic structure:
a b c (Å): 10.4879 10.4879 13.3347
angles (deg): 90.00 90.00 120.00
Space group R-3c (No. 167, hexagonal axes)
Inequivalent atoms, fractional coordinates:
K1 0.0000 0.0000 0.2500 x6
K2 0.0000 0.3511 0.2500 x18
Np1 0.0000 0.0000 0.0000 x6
O1 0.0195 0.1627 0.4108 x36

---

Starting from the PBE geometry in Alexandria, the powder diffraction line list of K2Np3O10 was computed for Cu Kα (weighted mean of Kα1 and Kα2).

Top 12 peaks for 10 to 80 degrees two-theta, most intense first:
- 22.8°, I = 1000
- 14.0°, I = 986
- 26.3°, I = 698
- 27.3°, I = 689
- 11.4°, I = 514
- 28.9°, I = 503
- 19.7°, I = 461
- 32.0°, I = 442
- 25.1°, I = 413
- 25.5°, I = 405
- 33.9°, I = 364
- 35.7°, I = 363

Atomic structure:
a b c (Å): 19.611 6.763 8.476
angles (deg): 90.00 113.19 90.00
Space group C2/m (No. 12)
Inequivalent atoms, fractional coordinates:
K1 0.108 0.000 0.220 x4
K2 0.202 0.000 0.838 x4
Np1 0.000 0.248 0.500 x4
Np2 0.081 0.500 0.977 x4
Np3 0.185 0.500 0.515 x4
O1 0.000 0.308 0.000 x4
O2 0.020 0.000 0.664 x4
O3 0.023 0.500 0.675 x4
O4 0.104 0.255 0.523 x8
O5 0.135 0.500 0.271 x4
O6 0.145 0.291 0.980 x8
O7 0.232 0.500 0.750 x4
O8 0.250 0.250 0.500 x4

---

Starting from the PBE geometry in Alexandria, the powder diffraction line list of K2NpO6 was computed for Cu Kα (weighted mean of Kα1 and Kα2).

Top 12 peaks for 10 to 80 degrees two-theta, most intense first:
- 15.5°, I = 1000
- 21.2°, I = 995
- 17.1°, I = 826
- 17.4°, I = 766
- 18.0°, I = 595
- 23.8°, I = 570
- 27.9°, I = 554
- 18.2°, I = 550
- 28.5°, I = 544
- 28.3°, I = 537
- 33.0°, I = 448
- 45.3°, I = 300

Atomic structure:
a b c (Å): 5.458 5.795 6.822
angles (deg): 111.46 111.24 96.41
Space group P-1 (No. 2)
Inequivalent atoms, fractional coordinates:
K1 0.164 0.174 0.339 x2
Np1 0.500 0.500 0.000 x1
O1 0.078 0.599 0.000 x2
O2 0.307 0.160 0.762 x2
O3 0.448 0.605 0.759 x2